This entry pairs a crystal structure of Sr2GdCoCu2O7 with its computed XRD peak list. Radiation: CuKα. Structure: a cell relaxed with GGA+U.
Lines closer than 0.1° are merged.

Peak list (12 most intense, 10° ≤ 2θ ≤ 90°, in order of falling intensity)
- d 2.735, I = 100, (6 1 1)
- d 1.938, I = 31, (0 2 2)
- d 2.721, I = 30, (0 0 2)
- d 2.760, I = 29, (0 2 0)
- d 1.574, I = 27, (6 1 3)
- d 2.319, I = 27, (8 1 1)
- d 1.589, I = 18, (6 3 1)
- d 3.873, I = 9, (0 1 1)
- d 1.367, I = 9, (12 2 2)
- d 1.930, I = 9, (12 0 0)
- d 1.225, I = 8, (6 3 3)
- d 1.582, I = 7, (12 2 0)

Structural model:
```
data_Sr2GdCoCu2O7
_cell_length_a 23.162
_cell_length_b 5.520
_cell_length_c 5.442
_cell_angle_alpha 90.00
_cell_angle_beta 90.00
_cell_angle_gamma 90.00
_symmetry_space_group_name_H-M 'I m a 2'
_symmetry_Int_Tables_number 46
loop_
_symmetry_equiv_pos_as_xyz
'x,y,z'
'-x,-y,z'
'-x+1/2,y,z'
'x+1/2,-y,z'
'x+1/2,y+1/2,z+1/2'
'-x+1/2,-y+1/2,z+1/2'
'-x,y+1/2,z+1/2'
'x,-y+1/2,z+1/2'
loop_
_atom_site_label
_atom_site_fract_x
_atom_site_fract_y
_atom_site_fract_z
Sr1 0.153 0.012 0.000
Gd1 0.000 0.000 0.002
Co1 0.250 0.564 0.966
Cu1 0.073 0.000 0.503
O1 0.063 0.248 0.251
O2 0.066 0.749 0.254
O3 0.176 0.036 0.522
O4 0.250 0.612 0.609
```